Starting from a crystal structure in Alexandria, relaxed with GGA-PBE, the powder diffractogram of K2Pb2S3 was calculated for Cu Kα, 1.54184 Å.
Lines closer than 0.1° are merged.

Structure:
Cell lengths 14.760, 4.137, 8.069 Å; angles 90.00, 105.33, 90.00 degrees
Space group C2/m (No. 12)
Symmetry-distinct sites (fractional):
K (0.126, 0.000, 0.374) [4 per cell]
Pb (0.132, 0.500, 0.821) [4 per cell]
S (0.000, 0.500, 0.500) [2 per cell]
S (0.241, 0.000, 0.766) [4 per cell]

Main lines, sorted by position (10 to 80 degrees two-theta):
- hkl 2 0 -1, 2θ 14.48, I = 78
- hkl 2 0 1, 2θ 18.99, I = 20
- hkl 1 1 0, 2θ 22.38, I = 26
- hkl 0 0 2, 2θ 22.85, I = 17
- hkl 4 0 0, 2θ 25.02, I = 24
- hkl 1 1 1, 2θ 25.92, I = 41
- hkl 3 1 -1, 2θ 28.93, I = 100
- hkl 1 1 -2, 2θ 30.96, I = 17
- hkl 3 1 2, 2θ 40.08, I = 28
- hkl 5 1 1, 2θ 42.62, I = 30